This entry pairs a crystal structure of RbBaBiO3 with its calculated X-ray powder pattern. Radiation: Cu Kα, 1.54184 Å. Structure: a crystal structure in Alexandria, relaxed with GGA-PBE.
Intensities are scaled so that the largest is 100.

Structure:
a b c (Å): 13.643 4.574 9.656
angles (deg): 90.00 114.01 90.00
Space group C2/m (No. 12)
Unique sites:
Rb1 0.157 0.000 0.138 [4 per cell]
Ba1 0.142 0.000 0.539 [4 per cell]
Bi1 0.026 0.500 0.790 [4 per cell]
O1 0.017 0.000 0.757 [4 per cell]
O2 0.123 0.500 0.668 [4 per cell]
O3 0.145 0.500 0.343 [4 per cell]

Largest 10 diffraction maxima, in order of rising 2θ, 10° ≤ 2θ ≤ 80°:
| h k l | d [Å] | Position (°2θ) | I_rel |
| --- | --- | --- | --- |
| 2 0 0 | 6.231 | 14.2 | 32 |
| 1 1 1 | 3.664 | 24.3 | 20 |
| 1 1 -2 | 3.318 | 26.9 | 100 |
| 4 0 -2 | 3.241 | 27.5 | 48 |
| 3 1 0 | 3.075 | 29.0 | 68 |
| 2 0 2 | 3.060 | 29.2 | 28 |
| 0 0 3 | 2.940 | 30.4 | 21 |
| 0 2 0 | 2.287 | 39.4 | 29 |
| 4 2 -2 | 1.869 | 48.7 | 21 |
| 3 1 3 | 1.863 | 48.9 | 26 |

---

This entry pairs a crystal structure of Ba3BiRu2O9 with its calculated X-ray powder pattern. Radiation: Cu Kα, 1.54184 Å. Structure: a crystal structure in Alexandria, relaxed with GGA-PBE.
Intensities are scaled so that the largest is 100.

Structure:
a b c (Å): 6.033 10.408 14.855
angles (deg): 90.00 92.01 90.00
Space group C2/c (No. 15)
Unique sites:
Ba1 0.000 0.005 0.250 [4 per cell]
Ba2 0.006 0.334 0.595 [8 per cell]
Bi1 0.000 0.000 0.000 [4 per cell]
Ru1 0.015 0.334 0.166 [8 per cell]
O1 0.000 0.491 0.250 [4 per cell]
O2 0.041 0.172 0.096 [8 per cell]
O3 0.191 0.407 0.427 [8 per cell]
O4 0.230 0.093 0.898 [8 per cell]
O5 0.233 0.261 0.262 [8 per cell]

Largest 10 diffraction maxima, in order of rising 2θ, 10° ≤ 2θ ≤ 80°:
| h k l | d [Å] | Position (°2θ) | I_rel |
| --- | --- | --- | --- |
| 1 1 -4 | 3.069 | 29.1 | 42 |
| 2 0 0 | 3.018 | 29.6 | 89 |
| 1 3 0 | 3.007 | 29.7 | 100 |
| 1 1 4 | 2.982 | 30.0 | 33 |
| 2 2 -4 | 2.165 | 41.7 | 21 |
| 0 4 4 | 2.131 | 42.4 | 21 |
| 2 2 4 | 2.104 | 43.0 | 20 |
| 3 3 0 | 1.739 | 52.6 | 20 |
| 0 6 0 | 1.734 | 52.8 | 15 |
| 2 6 0 | 1.503 | 61.7 | 18 |